For Pd3S, the GGA-PBE geometry in the Materials Project gives the simulated powder XRD pattern in this record (Cu Kα X-rays).
Neutral-atom scattering factors, no anomalous dispersion.

Top 10 peaks for 2θ from 10° to 90°, by intensity:
2theta, Rel. int.
40.8, 100.0
74.2, 32.7
59.0, 16.4
24.6, 11.0
88.3, 10.7
28.5, 5.8
48.2, 5.7
64.9, 2.3
66.8, 2.1
79.6, 1.7

Atomic structure:
Cell: 6.260 6.260 6.260 Å, 90.00 90.00 90.00°
Space group Fm-3m (No. 225)
Inequivalent atoms, fractional coordinates:
Pd 0.000 0.000 0.000 x4
Pd 0.250 0.250 0.250 x8
S 0.000 0.000 0.500 x4